No. 1
Structure and simulated powder diffraction line list of Tb3Pd8 (the PBE geometry in Alexandria; λ = 1.5418 Å (Cu Kα)).

The 10 most intense peaks (10° ≤ 2θ ≤ 90°), sorted by position:
d/Å  Rel. int.  hkl
3.045  100  2 0 2
2.901  78  2 1 1
2.550  84  1 2 2
2.333  27  2 2 0
2.227  59  1 0 4
2.178  88  1 3 1
2.030  20  3 0 3
1.862  94  4 -2 3
1.507  21  6 -4 1
1.288  23  2 2 6

Lattice parameters (Å, degrees): 9.3308 9.3308 9.2666 90.00 90.00 120.00
Space group R-3 (No. 148, hexagonal axes)
One atom of each set of equivalent atoms:
Tb (0.0000, 0.5000, 0.0000) x9
Pd (0.0000, 0.0000, 0.3597) x6
Pd (0.0481, 0.8501, 0.8859) x18

***

No. 2
Structure and simulated powder diffraction line list of TbTiPd5 (the PBE geometry in Alexandria; λ = 1.5418 Å (Cu Kα)).

The 10 most intense peaks (10° ≤ 2θ ≤ 90°), sorted by position:
d/Å  Rel. int.  hkl
7.328  10  0 0 1
2.708  38  1 1 1
2.443  18  0 0 3
2.281  100  1 1 2
2.060  43  2 0 0
1.575  18  2 0 3
1.457  14  2 2 0
1.369  11  2 0 4
1.309  14  1 1 5
1.228  26  3 1 2

Lattice parameters (Å, degrees): 4.1208 4.1208 7.3283 90.00 90.00 90.00
Space group P4/mmm (No. 123)
One atom of each set of equivalent atoms:
Tb (0.0000, 0.0000, 0.0000) x1
Ti (0.5000, 0.5000, 0.5000) x1
Pd (0.0000, 0.5000, 0.2919) x4
Pd (0.5000, 0.5000, 0.0000) x1

***

No. 3
Structure and simulated powder diffraction line list of TbTlPd5 (the PBE geometry in Alexandria; λ = 1.5418 Å (Cu Kα)).

The 10 most intense peaks (10° ≤ 2θ ≤ 90°), sorted by position:
d/Å  Rel. int.  hkl
2.966  34  0 1 3
2.712  32  2 1 1
2.366  37  0 4 0
2.342  10  0 0 4
2.216  100  2 2 2
2.107  14  2 3 1
2.099  10  0 2 4
1.484  12  4 0 0
1.335  16  2 6 2
1.327  11  4 1 3

Lattice parameters (Å, degrees): 5.9384 9.4648 9.3682 90.00 90.00 90.00
Space group Imma (No. 74)
One atom of each set of equivalent atoms:
Tb (0.0000, 0.2500, 0.1038) x4
Tl (0.2500, 0.2500, 0.7500) x4
Pd (0.0000, 0.0037, 0.2586) x8
Pd (0.0000, 0.2500, 0.4295) x4
Pd (0.2478, 0.0000, 0.0000) x8

***

No. 4
Structure and simulated powder diffraction line list of Tb5Tl2Pd (the PBE geometry in Alexandria; λ = 1.5418 Å (Cu Kα)).

The 10 most intense peaks (10° ≤ 2θ ≤ 90°), sorted by position:
d/Å  Rel. int.  hkl
2.912  58  1 3 1
2.891  34  1 4 0
2.842  100  2 1 1
2.755  23  2 3 0
2.643  81  0 4 1
2.425  48  0 0 2
1.858  19  1 4 2
1.820  22  2 6 0
1.467  26  2 1 3
1.438  12  0 4 3

Lattice parameters (Å, degrees): 7.3040 12.5908 4.8503 90.00 90.00 90.00
Space group Pbam (No. 55)
One atom of each set of equivalent atoms:
Tb (0.0000, 0.0000, 0.0000) x2
Tb (0.1279, 0.2855, 0.0000) x4
Tb (0.1794, 0.5839, 0.5000) x4
Tl (0.1011, 0.8386, 0.5000) x4
Pd (0.0000, 0.5000, 0.0000) x2

***

No. 5
Structure and simulated powder diffraction line list of Tb2Tm5Pd4 (the PBE geometry in Alexandria; λ = 1.5418 Å (Cu Kα)).

The 10 most intense peaks (10° ≤ 2θ ≤ 90°), sorted by position:
d/Å  Rel. int.  hkl
3.068  24  3 1 -1
2.974  22  2 0 2
2.920  26  6 0 -2
2.798  22  5 1 -1
2.498  100  5 1 1
2.452  25  3 1 -2
2.348  29  5 1 -2
1.914  22  3 1 -3
1.902  23  11 1 -1
1.803  22  0 2 0

Lattice parameters (Å, degrees): 24.7012 3.6058 6.7767 90.00 104.71 90.00
Space group C2/m (No. 12)
One atom of each set of equivalent atoms:
Tb (0.1916, 0.0000, 0.0354) x4
Tm (0.0000, 0.0000, 0.0000) x2
Tm (0.0720, 0.0000, 0.6322) x4
Tm (0.1883, 0.5000, 0.5306) x4
Pd (0.0213, 0.5000, 0.3227) x4
Pd (0.1132, 0.0000, 0.2764) x4

***

No. 6
Structure and simulated powder diffraction line list of Tb2Tm3Pd4 (the PBE geometry in Alexandria; λ = 1.5418 Å (Cu Kα)).

The 10 most intense peaks (10° ≤ 2θ ≤ 90°), sorted by position:
d/Å  Rel. int.  hkl
3.096  21  2 2 0
2.853  48  2 2 1
2.826  76  1 5 1
2.629  21  2 4 0
2.462  100  2 0 2
2.356  35  0 2 3
2.264  31  0 6 2
2.204  21  1 7 1
1.659  21  4 0 0
1.403  24  2 6 4

Lattice parameters (Å, degrees): 6.6345 17.2518 7.3478 90.00 90.00 90.00
Space group Cmce (No. 64)
One atom of each set of equivalent atoms:
Tb (0.0000, 0.0951, 0.0845) x8
Tm (0.0000, 0.0000, 0.5000) x4
Tm (0.2500, 0.2325, 0.7500) x8
Pd (0.0000, 0.1670, 0.4626) x8
Pd (0.2500, 0.0674, 0.7500) x8

***

No. 7
Structure and simulated powder diffraction line list of Tb2TmPd3 (the PBE geometry in Alexandria; λ = 1.5418 Å (Cu Kα)).

The 10 most intense peaks (10° ≤ 2θ ≤ 90°), sorted by position:
d/Å  Rel. int.  hkl
2.946  19  0 2 0
2.777  100  2 0 2
2.600  36  2 2 -1
2.364  24  0 2 2
2.125  25  2 0 -4
2.021  22  2 2 2
1.968  11  0 2 3
1.838  8  4 2 1
1.835  12  6 0 0
1.381  8  0 4 2

Lattice parameters (Å, degrees): 11.7886 5.8919 8.4981 90.00 110.96 90.00
Space group C2/c (No. 15)
One atom of each set of equivalent atoms:
Tb (0.1776, 0.0211, 0.0844) x8
Tm (0.0000, 0.3521, 0.2500) x4
Pd (0.0000, 0.1436, 0.7500) x4
Pd (0.1402, 0.4742, 0.5763) x8

***

No. 8
Structure and simulated powder diffraction line list of TbUPd6 (the PBE geometry in Alexandria; λ = 1.5418 Å (Cu Kα)).

The 10 most intense peaks (10° ≤ 2θ ≤ 90°), sorted by position:
d/Å  Rel. int.  hkl
8.265  3  0 0 1
4.133  8  0 0 2
2.923  7  1 1 0
2.386  100  1 1 2
2.067  49  2 0 0
1.848  4  2 0 2
1.687  3  1 1 4
1.461  32  2 2 0
1.246  38  3 1 2
1.193  11  2 2 4

Lattice parameters (Å, degrees): 4.1335 4.1335 8.2649 90.00 90.00 90.00
Space group P4/mmm (No. 123)
One atom of each set of equivalent atoms:
Tb (0.0000, 0.0000, 0.0000) x1
U (0.0000, 0.0000, 0.5000) x1
Pd (0.0000, 0.5000, 0.2546) x4
Pd (0.5000, 0.5000, 0.0000) x1
Pd (0.5000, 0.5000, 0.5000) x1